Record 1
This entry pairs a crystal structure of Pm2Zn7Au12 with its simulated powder diffraction line list. Radiation: Cu Ka. Structure: a structure optimized by DFT (GGA-PBE).
Intensities are scaled so that the largest is 100.

Most intense lines, 10° ≤ 2θ ≤ 80°, low angle first:
two_theta	Rel. int.
33.7	100
34.7	11
36.2	12
40.8	36
42.1	51
44.1	15
55.6	10
62.6	11
71.6	12
72.7	10

Cell and atoms:
```
Pm2Zn7Au12
1.0
10.3384 0.0000 0.0000
-5.1692 8.9533 0.0000
0.0000 0.0000 4.2928
Pm Zn Au
2 7 12
direct
0.0000 0.0000 0.0000
0.3333 0.6667 0.5000
0.0295 0.4797 0.0000
0.2710 0.2669 0.5000
0.4502 0.9705 0.0000
0.5203 0.5498 0.0000
0.6667 0.3333 0.0000
0.7331 0.0040 0.5000
0.9960 0.7290 0.5000
0.0123 0.2488 0.5000
0.1718 0.7704 0.0000
0.2296 0.4014 0.0000
0.2365 0.9877 0.5000
0.3716 0.1975 0.0000
0.5668 0.1361 0.5000
0.5694 0.4332 0.5000
0.5986 0.8282 0.0000
0.7512 0.7635 0.5000
0.8025 0.1740 0.0000
0.8260 0.6284 0.0000
0.8639 0.4306 0.5000
```

=====

Record 2
This entry pairs a crystal structure of Sm3RuO7 with its simulated powder diffraction line list. Radiation: Cu Ka. Structure: a structure optimized by DFT (GGA-PBE).
Intensities are scaled so that the largest is 100.

Most intense lines, 10° ≤ 2θ ≤ 80°, low angle first:
two_theta	Rel. int.
28.6	100
28.9	99
33.3	45
33.4	20
47.3	12
47.9	55
48.2	17
56.4	23
56.8	11
57.0	39

Cell and atoms:
```
Sm3RuO7
1.0
3.8420 -5.3613 0.0000
3.8420 5.3613 0.0000
0.0000 0.0000 7.5576
Sm Ru O
6 2 14
direct
0.0320 0.0320 0.0000
0.0379 0.4982 0.2571
0.4982 0.0379 0.7429
0.5018 0.9621 0.2429
0.9621 0.5018 0.7571
0.9680 0.9680 0.5000
0.4996 0.4996 0.0000
0.5004 0.5004 0.5000
0.1300 0.8700 0.7500
0.1370 0.8630 0.2500
0.1793 0.4222 0.9755
0.1970 0.4456 0.5375
0.4222 0.1793 0.0245
0.4337 0.5663 0.2500
0.4456 0.1970 0.4625
0.5544 0.8030 0.9625
0.5663 0.4337 0.7500
0.5778 0.8207 0.5245
0.8030 0.5544 0.0375
0.8207 0.5778 0.4755
0.8630 0.1370 0.7500
0.8700 0.1300 0.2500
```

=====

Record 3
This entry pairs a crystal structure of Pr2Sm5Ho6 with its simulated powder diffraction line list. Radiation: Cu Ka. Structure: a structure optimized by DFT (GGA-PBE).
Intensities are scaled so that the largest is 100.

Most intense lines, 10° ≤ 2θ ≤ 80°, low angle first:
two_theta	Rel. int.
29.1	22
30.7	65
31.3	46
31.5	87
32.0	100
34.1	45
34.8	27
36.4	31
50.7	24
61.0	27

Cell and atoms:
```
Pr2Sm5Ho6
1.0
11.7538 0.0000 0.0000
0.0000 20.4909 0.0000
0.0000 0.0000 3.5992
Pr Sm Ho
4 10 12
direct
0.1716 0.2179 0.0000
0.3284 0.7179 0.0000
0.6716 0.2821 0.0000
0.8284 0.7821 0.0000
0.0000 0.5000 0.5000
0.0881 0.7794 0.5000
0.2006 0.0522 0.5000
0.2994 0.5522 0.5000
0.4119 0.2794 0.5000
0.5000 0.0000 0.5000
0.5881 0.7206 0.5000
0.7006 0.4478 0.5000
0.7994 0.9478 0.5000
0.9119 0.2206 0.5000
0.0604 0.9233 0.0000
0.0757 0.6352 0.0000
0.1811 0.3727 0.5000
0.3189 0.8727 0.5000
0.4243 0.1352 0.0000
0.4396 0.4233 0.0000
0.5604 0.5767 0.0000
0.5757 0.8648 0.0000
0.6811 0.1273 0.5000
0.8189 0.6273 0.5000
0.9243 0.3648 0.0000
0.9396 0.0767 0.0000
```

=====

Record 4
This entry pairs a crystal structure of PrTl3Pd3 with its simulated powder diffraction line list. Radiation: Cu Ka. Structure: a structure optimized by DFT (GGA-PBE).
Intensities are scaled so that the largest is 100.

Most intense lines, 10° ≤ 2θ ≤ 80°, low angle first:
two_theta	Rel. int.
26.0	32
29.5	29
32.5	89
33.4	43
35.4	100
38.7	66
40.5	23
54.2	37
57.3	22
59.1	20

Cell and atoms:
```
PrTl3Pd3
1.0
4.6483 2.6837 2.1791
-4.6483 2.6837 2.1791
0.0000 -5.3673 2.1791
Pr Tl Pd
1 3 3
direct
0.0000 0.0000 0.0000
0.4190 0.4190 0.8070
0.4190 0.8070 0.4190
0.8070 0.4190 0.4190
0.4708 0.9560 0.9560
0.9560 0.4708 0.9560
0.9560 0.9560 0.4708
```

=====

Record 5
This entry pairs a crystal structure of BaPrAg2Br8 with its simulated powder diffraction line list. Radiation: Cu Ka. Structure: a structure optimized by DFT (GGA-PBE).
Intensities are scaled so that the largest is 100.

Most intense lines, 10° ≤ 2θ ≤ 80°, low angle first:
two_theta	Rel. int.
20.8	100
27.9	44
29.3	52
34.2	58
34.7	39
39.9	31
40.9	62
54.8	26
65.7	15
77.2	20

Cell and atoms:
```
BaPrAg2Br8
1.0
-3.6527 3.6527 7.5446
3.6527 -3.6527 7.5446
3.6527 3.6527 -7.5446
Ba Pr Ag Br
1 1 2 8
direct
0.0000 0.0000 0.0000
0.7500 0.2500 0.5000
0.2500 0.7500 0.5000
0.5000 0.5000 0.0000
0.0021 0.9655 0.6066
0.0345 0.6411 0.0366
0.1261 0.2640 0.5612
0.3589 0.3955 0.3934
0.4352 0.8739 0.1379
0.6045 0.9979 0.9634
0.7027 0.5648 0.4388
0.7360 0.2973 0.8621
```

=====

Record 6
This entry pairs a crystal structure of YErN with its simulated powder diffraction line list. Radiation: Cu Ka. Structure: a structure optimized by DFT (GGA-PBE).
Intensities are scaled so that the largest is 100.

Most intense lines, 10° ≤ 2θ ≤ 80°, low angle first:
two_theta	Rel. int.
29.6	21
30.5	25
30.6	16
33.4	100
37.7	17
43.0	14
52.6	23
56.1	16
62.0	23
63.7	15

Cell and atoms:
```
YErN
1.0
3.4823 0.0000 0.0000
-1.7411 3.0157 0.0000
0.0000 0.0000 11.7231
Y Er N
2 2 2
direct
0.0000 0.0000 0.0000
0.3333 0.6667 0.5000
0.6667 0.3333 0.2316
0.6667 0.3333 0.7684
0.3333 0.6667 0.1329
0.3333 0.6667 0.8671
```

=====

Record 7
This entry pairs a crystal structure of ThNp3P4 with its simulated powder diffraction line list. Radiation: Cu Ka. Structure: a structure optimized by DFT (GGA-PBE).
Intensities are scaled so that the largest is 100.

Most intense lines, 10° ≤ 2θ ≤ 80°, low angle first:
two_theta	Rel. int.
27.2	100
31.5	91
45.1	68
53.4	50
56.0	24
65.7	11
72.4	21
74.6	32

Cell and atoms:
```
ThNp3P4
1.0
5.6874 0.0000 0.0000
0.0000 5.6874 0.0000
0.0000 0.0000 5.6874
Th Np P
1 3 4
direct
0.0000 0.0000 0.0000
0.0000 0.5000 0.5000
0.5000 0.0000 0.5000
0.5000 0.5000 0.0000
0.0000 0.0000 0.5000
0.0000 0.5000 0.0000
0.5000 0.0000 0.0000
0.5000 0.5000 0.5000
```

=====

Record 8
This entry pairs a crystal structure of Mo2AsH2 with its simulated powder diffraction line list. Radiation: Cu Ka. Structure: a structure optimized by DFT (GGA-PBE).
Intensities are scaled so that the largest is 100.

Most intense lines, 10° ≤ 2θ ≤ 80°, low angle first:
two_theta	Rel. int.
29.7	5
34.0	4
38.5	100
40.7	46
52.1	7
52.3	5
54.0	4
58.9	15
68.1	13
72.5	30

Cell and atoms:
```
Mo2AsH2
1.0
3.1384 0.0000 0.0000
0.0000 3.1384 0.0000
0.0000 0.0000 10.5327
Mo As H
4 2 4
direct
0.0000 0.0000 0.1472
0.0000 0.0000 0.8528
0.5000 0.5000 0.3528
0.5000 0.5000 0.6472
0.0000 0.0000 0.5000
0.5000 0.5000 0.0000
0.0000 0.5000 0.2500
0.0000 0.5000 0.7500
0.5000 0.0000 0.2500
0.5000 0.0000 0.7500
```

=====

Record 9
This entry pairs a crystal structure of SrTiOs2 with its simulated powder diffraction line list. Radiation: Cu Ka. Structure: a structure optimized by DFT (GGA-PBE).
Intensities are scaled so that the largest is 100.

Most intense lines, 10° ≤ 2θ ≤ 80°, low angle first:
two_theta	Rel. int.
18.7	97
21.0	40
23.9	100
27.6	29
32.0	48
38.0	92
41.2	49
42.7	31
49.0	45
57.1	52

Cell and atoms:
```
SrTiOs2
1.0
4.9381 0.0000 0.0000
0.0000 4.9381 0.0000
0.0000 0.0000 16.9366
Sr Ti Os
4 4 8
direct
0.0000 0.2500 0.3750
0.0000 0.7500 0.6250
0.5000 0.2500 0.1250
0.5000 0.7500 0.8750
0.0000 0.2500 0.8750
0.0000 0.7500 0.1250
0.5000 0.2500 0.6250
0.5000 0.7500 0.3750
0.0000 0.0000 0.0000
0.0000 0.5000 0.0000
0.2500 0.2500 0.7500
0.2500 0.7500 0.2500
0.5000 0.0000 0.5000
0.5000 0.5000 0.5000
0.7500 0.2500 0.7500
0.7500 0.7500 0.2500
```

=====

Record 10
This entry pairs a crystal structure of Rb2MgPaO4 with its simulated powder diffraction line list. Radiation: Cu Ka. Structure: a structure optimized by DFT (GGA-PBE).
Intensities are scaled so that the largest is 100.

Most intense lines, 10° ≤ 2θ ≤ 80°, low angle first:
two_theta	Rel. int.
15.9	55
17.8	43
27.2	62
28.4	29
30.8	78
32.2	34
34.6	100
36.1	44
47.6	34
54.0	34

Cell and atoms:
```
Rb2MgPaO4
1.0
5.7914 0.0000 0.0000
0.0000 3.5730 0.0000
-1.9001 0.0000 6.5589
Rb Mg Pa O
2 1 1 4
direct
0.0000 0.0000 0.0000
0.5000 0.5000 0.0000
0.0000 0.5000 0.5000
0.5000 0.0000 0.5000
0.2275 0.0000 0.6678
0.2712 0.5000 0.3321
0.7288 0.5000 0.6679
0.7725 0.0000 0.3322
```

=====

Record 11
This entry pairs a crystal structure of Th2P6Pd21 with its simulated powder diffraction line list. Radiation: Cu Ka. Structure: a structure optimized by DFT (GGA-PBE).
Intensities are scaled so that the largest is 100.

Most intense lines, 10° ≤ 2θ ≤ 80°, low angle first:
two_theta	Rel. int.
32.6	46
35.8	47
38.1	100
41.6	40
43.6	28
49.2	22
62.4	15
64.4	37
65.9	14
75.9	24

Cell and atoms:
```
Th2P6Pd21
1.0
0.0000 6.1379 6.1379
6.1379 0.0000 6.1379
6.1379 6.1379 0.0000
Th P Pd
2 6 21
direct
0.2500 0.2500 0.2500
0.7500 0.7500 0.7500
0.2404 0.2404 0.7596
0.2404 0.7596 0.2404
0.2404 0.7596 0.7596
0.7596 0.2404 0.2404
0.7596 0.2404 0.7596
0.7596 0.7596 0.2404
0.1149 0.1149 0.1149
0.1149 0.1149 0.6553
0.1149 0.6553 0.1149
0.1551 0.5000 0.5000
0.1551 0.5000 0.8449
0.1551 0.8449 0.5000
0.3447 0.8851 0.8851
0.5000 0.1551 0.5000
0.5000 0.1551 0.8449
0.5000 0.5000 0.1551
0.5000 0.5000 0.5000
0.5000 0.5000 0.8449
0.5000 0.8449 0.1551
0.5000 0.8449 0.5000
0.6553 0.1149 0.1149
0.8449 0.1551 0.5000
0.8449 0.5000 0.1551
0.8449 0.5000 0.5000
0.8851 0.3447 0.8851
0.8851 0.8851 0.3447
0.8851 0.8851 0.8851
```

=====

Record 12
This entry pairs a crystal structure of Pu3TeS4 with its simulated powder diffraction line list. Radiation: Cu Ka. Structure: a structure optimized by DFT (GGA-PBE).
Intensities are scaled so that the largest is 100.

Most intense lines, 10° ≤ 2θ ≤ 80°, low angle first:
two_theta	Rel. int.
21.8	30
26.7	100
28.2	42
33.5	14
39.3	35
40.3	32
46.3	15
49.0	44
66.0	17
72.6	12

Cell and atoms:
```
Pu3TeS4
1.0
4.4767 0.0000 0.0000
0.0000 4.4767 0.0000
0.0000 0.0000 9.9928
Pu Te S
3 1 4
direct
0.0000 0.0000 0.0000
0.5000 0.5000 0.3169
0.5000 0.5000 0.6831
0.0000 0.0000 0.5000
0.0000 0.5000 0.1675
0.0000 0.5000 0.8325
0.5000 0.0000 0.1675
0.5000 0.0000 0.8325
```

=====

Record 13
This entry pairs a crystal structure of Li2Ca3Pb4 with its simulated powder diffraction line list. Radiation: Cu Ka. Structure: a structure optimized by DFT (GGA-PBE).
Intensities are scaled so that the largest is 100.

Most intense lines, 10° ≤ 2θ ≤ 80°, low angle first:
two_theta	Rel. int.
20.0	36
20.5	97
21.5	39
27.0	51
29.7	74
29.8	100
30.0	44
30.5	44
37.2	46
38.6	43

Cell and atoms:
```
Li2Ca3Pb4
1.0
5.8322 -2.4153 0.0000
5.8322 2.4153 0.0000
-2.1825 0.0000 8.9148
Li Ca Pb
2 3 4
direct
0.2018 0.2018 0.3841
0.7982 0.7982 0.6159
0.1196 0.1196 0.6989
0.5000 0.5000 0.0000
0.8804 0.8804 0.3011
0.2027 0.2027 0.0808
0.4182 0.4182 0.6130
0.5818 0.5818 0.3870
0.7973 0.7973 0.9192
```